Starting from DFT lattice parameters and positions (PBE+U), the powder diffractogram of LiMg4V3O12 was simulated for Cu Kα (λ = 1.5418 Å).
Neutral-atom scattering factors, no anomalous dispersion.

abc: 6.958 6.958 19.169
angles: 90.00 90.00 90.00
Space group I-42d (No. 122)
Inequivalent atoms, fractional coordinates:
Li (0.000, 0.000, 0.000) x4
Mg (0.000, 0.000, 0.275) x8
Mg (0.242, 0.250, 0.625) x8
V (0.000, 0.000, 0.500) x4
V (0.150, 0.750, 0.125) x8
O (0.011, 0.211, 0.194) x16
O (0.041, 0.228, 0.351) x16
O (0.053, 0.210, 0.546) x16

Top 12 peaks for 15° ≤ 2θ ≤ 90°, in order of rising 2θ:
Position (°2θ)  Rel. int.  hkl
18.51  113  0 0 4
18.86  195  1 0 3
26.55  348  1 0 5
29.07  562  2 1 1
31.78  1000  2 0 4
31.99  164  2 1 3
33.44  106  1 1 6
38.25  150  2 0 6
52.03  111  2 1 9
52.61  179  4 0 0
53.13  156  3 2 5
53.38  200  2 2 8